Diffraction record for NaCo2O4. The powder XRD pattern is theoretical, not measured: it uses a PBE+U-relaxed structure and Cu Kα.

Largest 10 diffraction maxima, sorted by position, 2θ = 15–90°:
| d (Å) | 2θ/deg | I/Imax |
| --- | --- | --- |
| 5.245 | 16.90 | 100 |
| 2.622 | 34.19 | 11 |
| 2.484 | 36.16 | 17 |
| 2.245 | 40.16 | 59 |
| 2.025 | 44.75 | 15 |
| 1.804 | 50.61 | 32 |
| 1.434 | 65.02 | 17 |
| 1.430 | 65.26 | 21 |
| 1.384 | 67.73 | 11 |
| 1.209 | 79.26 | 7 |

Structural model:
```
7
Lattice="2.869 0.000 0.000 -1.434 2.484 0.000 0.000 0.000 10.490" Properties=species:S:1:pos:R:3 pbc="T T T"
Na 0.000 0.000 0.000
Co 1.434 0.828 2.693
Co 1.434 0.828 7.796
O 0.000 0.000 3.563
O 0.000 0.000 6.926
O 0.000 1.656 1.647
O 0.000 1.656 8.842
```